# 1
Theoretical X-ray diffraction stick pattern
Compound: NdHf2F11
Radiation: λ = 1.5418 Å (Cu Kα)
Structure: a DFT-relaxed cell (GGA-PBE, Alexandria)

Crystal structure
```
NdHf2F11
1.0
-3.891 5.028 5.503
3.891 -5.028 5.503
3.891 5.028 -5.503
Nd Hf F
2 4 22
Direct
0.250 0.250 0.000
0.750 0.750 0.000
0.181 0.634 0.815
0.319 0.134 0.453
0.681 0.866 0.547
0.819 0.366 0.185
0.000 0.500 0.500
0.049 0.966 0.287
0.053 0.366 0.159
0.179 0.466 0.917
0.206 0.893 0.841
0.219 0.370 0.589
0.281 0.870 0.151
0.294 0.134 0.687
0.321 0.238 0.287
0.447 0.607 0.313
0.451 0.738 0.917
0.500 0.000 0.500
0.549 0.262 0.083
0.553 0.393 0.687
0.679 0.762 0.713
0.706 0.866 0.313
0.719 0.130 0.849
0.781 0.630 0.411
0.794 0.107 0.159
0.821 0.534 0.083
0.947 0.634 0.841
0.951 0.034 0.713
```

Most intense lines, 2θ = 10–90°, low angle first:
d [Å]  2theta  Rel. int.
5.503  16.11  42.2
4.102  21.66  100.0
3.943  22.55  53.9
3.712  23.98  77.2
3.446  25.85  88.2
3.078  29.01  35.4
2.051  44.15  51.2
2.004  45.26  21.1
1.922  47.29  35.8
1.835  49.69  43.5

# 2
Theoretical X-ray diffraction stick pattern
Compound: Rb3Hf2O3F4
Radiation: λ = 1.5418 Å (Cu Kα)
Structure: a DFT-relaxed cell (GGA-PBE, Alexandria)

Crystal structure
```
Rb3Hf2O3F4
1.0
-2.042 2.144 13.917
2.042 -2.144 13.917
2.042 2.144 -13.917
Rb Hf O F
3 2 3 4
Direct
0.000 0.000 0.000
0.173 0.173 0.000
0.827 0.827 0.000
0.427 0.427 0.000
0.573 0.573 0.000
0.423 0.923 0.500
0.500 0.500 0.000
0.577 0.077 0.500
0.076 0.576 0.500
0.352 0.352 0.000
0.648 0.648 0.000
0.924 0.424 0.500
```

Most intense lines, 2θ = 10–90°, low angle first:
d [Å]  2theta  Rel. int.
3.479  25.60  29.3
3.397  26.23  71.1
3.293  27.08  67.9
2.958  30.22  100.0
2.916  30.66  46.8
2.849  31.40  46.7
2.144  42.14  30.7
2.042  44.35  26.4
1.825  49.97  38.5
1.797  50.81  24.2

# 3
Theoretical X-ray diffraction stick pattern
Compound: HfTaOF2
Radiation: λ = 1.5418 Å (Cu Kα)
Structure: a DFT-relaxed cell (GGA-PBE, Alexandria)

Crystal structure
```
HfTaOF2
1.0
4.290 0.000 0.000
0.000 4.290 0.000
0.000 0.000 4.124
Hf Ta O F
1 1 1 2
Direct
0.000 0.000 0.000
0.500 0.500 0.500
0.000 0.000 0.500
0.000 0.500 0.000
0.500 0.000 0.000
```

Most intense lines, 2θ = 10–90°, low angle first:
d [Å]  2theta  Rel. int.
3.034  29.44  50.8
2.973  30.06  100.0
2.145  42.13  29.6
2.062  43.91  13.1
1.740  52.61  43.4
1.705  53.75  19.6
1.487  62.48  17.9
1.143  84.81  11.6
1.133  85.72  11.0
1.117  87.24  10.9

# 4
Theoretical X-ray diffraction stick pattern
Compound: Hf2Tl3O3F4
Radiation: λ = 1.5418 Å (Cu Kα)
Structure: a DFT-relaxed cell (GGA-PBE, Alexandria)

Crystal structure
```
Hf2Tl3O3F4
1.0
-2.036 12.372 2.141
2.036 -12.372 2.141
2.036 12.372 -2.141
Hf Tl O F
2 3 3 4
Direct
0.083 0.000 0.083
0.917 0.000 0.917
0.236 0.956 0.280
0.485 0.985 0.500
0.676 0.956 0.720
0.003 0.003 0.000
0.108 0.522 0.586
0.937 0.522 0.414
0.160 0.994 0.166
0.417 0.505 0.912
0.593 0.505 0.088
0.828 0.994 0.834
```

Most intense lines, 2θ = 10–90°, low angle first:
d [Å]  2theta  Rel. int.
6.186  14.32  23.5
3.238  27.54  89.1
3.144  28.38  86.9
2.951  30.29  100.0
2.664  33.65  22.8
2.314  38.93  23.4
2.141  42.20  25.7
2.036  44.50  23.6
1.769  51.66  40.2
1.724  53.13  30.6

# 5
Theoretical X-ray diffraction stick pattern
Compound: Hf3PbF
Radiation: λ = 1.5418 Å (Cu Kα)
Structure: a DFT-relaxed cell (GGA-PBE, Alexandria)

Crystal structure
```
Hf3PbF
1.0
4.603 0.000 0.000
0.000 4.603 0.000
0.000 0.000 4.603
Hf Pb F
3 1 1
Direct
0.000 0.000 0.500
0.000 0.500 0.000
0.500 0.000 0.000
0.500 0.500 0.500
0.000 0.000 0.000
```

Most intense lines, 2θ = 10–90°, low angle first:
d [Å]  2theta  Rel. int.
3.255  27.40  1.2
2.658  33.72  100.0
2.302  39.14  56.0
1.879  48.44  0.5
1.628  56.55  38.6
1.388  67.48  41.9
1.329  70.92  13.1
1.151  84.12  6.4

# 6
Theoretical X-ray diffraction stick pattern
Compound: HfTiPbF2
Radiation: λ = 1.5418 Å (Cu Kα)
Structure: a DFT-relaxed cell (GGA-PBE, Alexandria)

Crystal structure
```
HfTiPbF2
1.0
4.073 0.000 0.000
0.000 4.073 0.000
0.000 0.000 6.178
Hf Ti Pb F
1 1 1 2
Direct
0.000 0.000 0.000
0.000 0.000 0.500
0.500 0.500 0.500
0.000 0.500 0.000
0.500 0.000 0.000
```

Most intense lines, 2θ = 10–90°, low angle first:
d [Å]  2theta  Rel. int.
3.401  26.21  100.0
3.089  28.90  39.5
2.880  31.05  44.7
2.107  42.93  37.8
2.037  44.48  24.2
1.838  49.60  18.6
1.747  52.36  31.8
1.700  53.92  27.2
1.364  68.81  14.4
1.189  80.85  12.8

# 7
Theoretical X-ray diffraction stick pattern
Compound: HfPd2F
Radiation: λ = 1.5418 Å (Cu Kα)
Structure: a DFT-relaxed cell (GGA-PBE, Alexandria)

Crystal structure
```
HfPd2F
1.0
-3.593 3.593 2.528
3.593 -3.593 2.528
3.593 3.593 -2.528
Hf Pd F
2 4 2
Direct
0.000 0.000 0.000
0.750 0.250 0.500
0.142 0.625 0.017
0.375 0.392 0.517
0.608 0.125 0.983
0.875 0.858 0.483
0.250 0.750 0.500
0.500 0.500 0.000
```

Most intense lines, 2θ = 10–90°, low angle first:
d [Å]  2theta  Rel. int.
4.135  21.49  39.9
2.712  33.03  44.4
2.541  35.33  100.0
2.264  39.83  73.1
2.165  41.73  16.2
1.796  50.82  34.2
1.690  54.28  57.0
1.407  66.44  14.9
1.231  77.55  18.6
1.192  80.56  18.0

# 8
Theoretical X-ray diffraction stick pattern
Compound: Pm2HfF11
Radiation: λ = 1.5418 Å (Cu Kα)
Structure: a DFT-relaxed cell (GGA-PBE, Alexandria)

Crystal structure
```
Pm2HfF11
1.0
-4.243 5.103 5.351
4.243 -5.103 5.351
4.243 5.103 -5.351
Pm Hf F
4 2 22
Direct
0.192 0.168 0.360
0.308 0.668 0.976
0.692 0.332 0.024
0.808 0.832 0.640
0.250 0.750 0.500
0.750 0.250 0.500
0.000 0.000 0.000
0.014 0.441 0.750
0.071 0.832 0.621
0.184 0.893 0.077
0.192 0.941 0.427
0.211 0.450 0.379
0.289 0.668 0.239
0.308 0.736 0.750
0.316 0.393 0.709
0.429 0.050 0.761
0.486 0.236 0.427
0.500 0.500 0.000
0.514 0.764 0.573
0.571 0.950 0.239
0.684 0.607 0.291
0.692 0.264 0.250
0.711 0.332 0.761
0.789 0.550 0.621
0.808 0.059 0.573
0.816 0.107 0.923
0.929 0.168 0.379
0.986 0.559 0.250
```

Most intense lines, 2θ = 10–90°, low angle first:
d [Å]  2theta  Rel. int.
6.525  13.57  34.7
4.137  21.48  78.5
4.048  21.96  26.7
3.688  24.13  100.0
3.325  26.82  25.7
3.263  27.34  17.3
3.158  28.26  16.4
2.069  43.76  19.1
2.041  44.39  26.5
2.015  44.98  47.4

# 9
Theoretical X-ray diffraction stick pattern
Compound: PrHfF7
Radiation: λ = 1.5418 Å (Cu Kα)
Structure: a DFT-relaxed cell (GGA-PBE, Alexandria)

Crystal structure
```
PrHfF7
1.0
6.289 0.000 0.000
0.000 5.923 0.000
-1.848 0.000 8.305
Pr Hf F
2 2 14
Direct
0.158 0.000 0.189
0.842 0.500 0.811
0.312 0.009 0.724
0.688 0.509 0.276
0.054 0.692 0.022
0.075 0.777 0.710
0.098 0.265 0.707
0.267 0.002 0.484
0.355 0.017 0.965
0.450 0.275 0.255
0.457 0.745 0.268
0.543 0.245 0.732
0.550 0.775 0.745
0.645 0.517 0.035
0.733 0.502 0.516
0.902 0.765 0.293
0.925 0.277 0.290
0.946 0.192 0.978
```

Most intense lines, 2θ = 10–90°, low angle first:
d [Å]  2theta  Rel. int.
4.262  20.84  100.0
4.153  21.40  38.9
4.048  21.96  15.1
3.579  24.88  15.2
3.400  26.21  11.2
3.228  27.64  29.8
2.962  30.18  13.9
2.773  32.29  15.9
2.144  42.16  15.1
1.975  45.94  13.8

# 10
Theoretical X-ray diffraction stick pattern
Compound: HfZnPtF2
Radiation: λ = 1.5418 Å (Cu Kα)
Structure: a DFT-relaxed cell (GGA-PBE, Alexandria)

Crystal structure
```
HfZnPtF2
1.0
4.225 0.000 0.000
0.000 4.225 0.000
0.000 0.000 5.026
Hf Zn Pt F
1 1 1 2
Direct
0.000 0.000 0.000
0.500 0.500 0.000
0.500 0.500 0.500
0.000 0.500 0.500
0.500 0.000 0.500
```

Most intense lines, 2θ = 10–90°, low angle first:
d [Å]  2theta  Rel. int.
3.234  27.58  100.0
2.988  29.91  74.3
2.513  35.73  33.6
2.113  42.80  40.5
1.923  47.27  43.5
1.769  51.68  36.8
1.617  56.94  34.4
1.336  70.47  13.6
1.284  73.79  15.6
1.180  81.60  18.5

# 11
Theoretical X-ray diffraction stick pattern
Compound: HfTlS2F
Radiation: λ = 1.5418 Å (Cu Kα)
Structure: a DFT-relaxed cell (GGA-PBE, Alexandria)

Crystal structure
```
HfTlS2F
1.0
5.045 0.000 0.000
0.000 5.045 0.000
0.000 0.000 4.215
Hf Tl S F
1 1 2 1
Direct
0.000 0.000 0.000
0.500 0.500 0.500
0.000 0.500 0.000
0.500 0.000 0.000
0.000 0.000 0.500
```

Most intense lines, 2θ = 10–90°, low angle first:
d [Å]  2theta  Rel. int.
3.568  24.96  54.1
3.235  27.57  100.0
2.523  35.59  43.6
2.108  42.91  12.9
1.989  45.60  52.8
1.815  50.28  17.2
1.784  51.21  15.3
1.617  56.93  22.1
1.562  59.15  12.4
1.328  70.97  14.7

# 12
Theoretical X-ray diffraction stick pattern
Compound: HfZnSnF
Radiation: λ = 1.5418 Å (Cu Kα)
Structure: a DFT-relaxed cell (GGA-PBE, Alexandria)

Crystal structure
```
HfZnSnF
1.0
3.953 0.000 0.000
0.000 1.549 6.273
0.000 -1.549 6.273
Hf Zn Sn F
1 1 1 1
Direct
0.000 0.000 0.000
0.000 0.295 0.295
0.500 0.667 0.667
0.500 0.946 0.946
```

Most intense lines, 2θ = 10–90°, low angle first:
d [Å]  2theta  Rel. int.
6.273  14.12  27.0
3.344  26.66  69.3
2.489  36.08  100.0
2.457  36.57  74.6
2.393  37.58  95.5
2.091  43.27  21.7
1.976  45.92  28.4
1.548  59.74  59.1
1.444  64.53  32.2
1.310  72.09  20.5